# Fe13Ge3
Calculated X-ray powder pattern, λ = 1.5418 Å (Cu Kα). Input: a DFT-relaxed cell (PBE, Alexandria).
Kinematic intensities with the Lorentz-polarization factor, no thermal factor.

Structural model:
Cell lengths 5.7318, 5.7318, 5.7318 Å; angles 90.00, 90.00, 90.00 degrees
Sites, in units of the cell vectors:
Fe: 0.0000 0.0000 0.0000
Fe: 0.0000 0.0000 0.5000
Fe: 0.0000 0.5000 0.0000
Fe: 0.2474 0.2474 0.2474
Fe: 0.2474 0.2474 0.7526
Fe: 0.2474 0.7526 0.2474
Fe: 0.2474 0.7526 0.7526
Fe: 0.5000 0.0000 0.0000
Fe: 0.5000 0.5000 0.5000
Fe: 0.7526 0.2474 0.2474
Fe: 0.7526 0.2474 0.7526
Fe: 0.7526 0.7526 0.2474
Fe: 0.7526 0.7526 0.7526
Ge: 0.0000 0.5000 0.5000
Ge: 0.5000 0.0000 0.5000
Ge: 0.5000 0.5000 0.0000

Largest 4 diffraction maxima, low angle first, 2θ = 10–90°:
2θ/deg  I/Imax  hkl
26.94  1  1 1 1
44.72  100  2 2 0
65.09  15  4 0 0
82.43  29  4 2 2